Simulated powder X-ray diffraction pattern
Compound: BaYCo4O7
Radiation: Cu Kα
Structure: a PBE+U-relaxed structure
No peak broadening, texture or thermal motion is included.

Structural model:
```
data_BaYCo4O7
_cell_length_a 6.344
_cell_length_b 11.073
_cell_length_c 10.230
_cell_angle_alpha 90.00
_cell_angle_beta 90.00
_cell_angle_gamma 90.00
_symmetry_space_group_name_H-M 'C m c 21'
_symmetry_Int_Tables_number 36
loop_
_symmetry_equiv_pos_as_xyz
'x,y,z'
'-x,-y,z+1/2'
'-x,y,z'
'x,-y,z+1/2'
'x+1/2,y+1/2,z'
'-x+1/2,-y+1/2,z+1/2'
'-x+1/2,y+1/2,z'
'x+1/2,-y+1/2,z+1/2'
loop_
_atom_site_label
_atom_site_type_symbol
_atom_site_fract_x
_atom_site_fract_y
_atom_site_fract_z
_atom_site_occupancy
Ba1 Ba 0.000 0.169 0.000 1
Y1 Y 0.000 0.166 0.377 1
Co1 Co 0.000 0.333 0.695 1
Co2 Co 0.000 0.499 0.451 1
Co3 Co 0.246 0.085 0.695 1
O1 O 0.000 0.001 0.758 1
O2 O 0.000 0.339 0.502 1
O3 O 0.000 0.498 0.263 1
O4 O 0.238 0.414 0.004 1
O5 O 0.247 0.250 0.757 1
```

The 12 most intense peaks (10° ≤ 2θ ≤ 80°), sorted by position:
d_spacing  2theta  intensity  index
3.190  27.97  38  1 3 0
3.172  28.13  19  2 0 0
2.900  30.83  100  1 1 3
2.707  33.09  86  1 3 2
2.696  33.23  43  2 0 2
2.672  33.54  37  0 4 1
2.658  33.72  74  2 2 1
2.558  35.09  24  0 0 4
1.781  51.30  30  2 4 3
1.727  53.02  22  3 3 2
1.642  56.00  34  2 2 5
1.595  57.80  35  2 6 0